[1]
The following is a simulated powder diffraction line list of GaBiPSe. It was derived from the PBE geometry in Alexandria, using a wavelength of 1.5418 Å.
Peak positions follow from Bragg's law for the DFT cell and can differ from measured ones.

Crystal structure
```
GaBiPSe
1.0
3.9506 0.0000 0.0000
-1.9753 3.4213 0.0000
0.0000 0.0000 7.4558
Ga Bi P Se
1 1 1 1
direct
0.0000 0.0000 0.0000
0.3333 0.6667 0.4077
0.6667 0.3333 0.1258
0.0000 0.0000 0.6548
```

Peak list (10 most intense, 2θ = 15–90°, by angle)
- 26.04 deg, rel. 24.0, (1 0 0)
- 28.71 deg, rel. 100.0, (1 0 1)
- 35.62 deg, rel. 58.7, (1 0 2)
- 45.09 deg, rel. 30.6, (0 1 3)
- 45.94 deg, rel. 33.5, (1 1 0)
- 55.08 deg, rel. 16.6, (0 2 1)
- 59.45 deg, rel. 13.6, (0 2 2)
- 59.81 deg, rel. 14.3, (1 1 3)
- 74.47 deg, rel. 13.9, (2 1 1)
- 78.25 deg, rel. 12.7, (2 1 2)

***

[2]
The following is a simulated powder diffraction line list of SrPaSi. It was derived from the PBE geometry in Alexandria, using a wavelength of 1.5418 Å.
Peak positions follow from Bragg's law for the DFT cell and can differ from measured ones.

Crystal structure
```
SrPaSi
1.0
3.6791 0.0000 0.0000
0.0000 3.6791 0.0000
0.0000 0.0000 13.0128
Sr Pa Si
2 2 2
direct
0.0000 0.0000 0.1504
0.0000 0.0000 0.8496
0.5000 0.5000 0.3957
0.5000 0.5000 0.6043
0.0000 0.0000 0.5000
0.5000 0.5000 0.0000
```

Peak list (10 most intense, 2θ = 15–90°, by angle)
- 24.19 deg, rel. 25.1, (1 0 0)
- 25.15 deg, rel. 100.0, (1 0 1)
- 27.42 deg, rel. 28.3, (0 0 4)
- 31.90 deg, rel. 55.1, (1 0 3)
- 34.47 deg, rel. 79.7, (1 1 0)
- 42.55 deg, rel. 39.6, (1 0 5)
- 44.60 deg, rel. 31.4, (1 1 4)
- 48.74 deg, rel. 22.7, (1 0 6)
- 49.55 deg, rel. 44.5, (2 0 0)
- 56.37 deg, rel. 23.0, (2 1 1)